1.
Diffraction record for Ba2MgTiO4. The powder diffractogram is theoretical, not measured: it uses a crystal structure in the Materials Project, relaxed with PBE and Cu Kα (weighted mean of Kα1 and Kα2).
Peak positions follow from Bragg's law for the DFT cell and can differ from measured ones.

The 6 most intense peaks (10 to 90 degrees two-theta), by angle:
Position (°2θ), d/Å, I_rel
22.4, 3.975, 61
27.7, 3.221, 85
31.8, 2.813, 63
33.3, 2.691, 100
35.9, 2.503, 46
40.5, 2.229, 47

Cell and atoms:
```
data_Ba2MgTiO4
_chemical_formula_sum 'Ba2 Mg1 Ti1 O4'
_cell_length_a 3.9694
_cell_length_b 10.9662
_cell_length_c 3.9861
_cell_angle_alpha 90.00
_cell_angle_beta 90.00
_cell_angle_gamma 90.00
_space_group_name_H-M_alt 'P m m 2'
_space_group_IT_number 25
loop_
_space_group_symop_operation_xyz
'x,y,z'
'-x,-y,z'
'-x,y,z'
'x,-y,z'
loop_
_atom_site_label
_atom_site_fract_x
_atom_site_fract_y
_atom_site_fract_z
Ba1 0.0000 0.1805 0.0000
Mg1 0.0000 0.5000 0.5002
Ti1 0.5000 0.0000 0.5005
O1 0.0000 0.0000 0.4981
O2 0.5000 0.0000 0.9983
O3 0.5000 0.1818 0.4987
```

2.
Diffraction record for Ba3MgTi2O7. The powder diffractogram is theoretical, not measured: it uses a crystal structure in the Materials Project, relaxed with PBE and Cu Kα (weighted mean of Kα1 and Kα2).
Peak positions follow from Bragg's law for the DFT cell and can differ from measured ones.

The 6 most intense peaks (10 to 90 degrees two-theta), by angle:
Position (°2θ), d/Å, I_rel
22.1, 4.014, 32
30.7, 2.915, 54
30.9, 2.894, 100
31.0, 2.888, 46
31.4, 2.847, 91
38.2, 2.358, 37

Cell and atoms:
```
data_Ba3MgTi2O7
_chemical_formula_sum 'Ba3 Mg1 Ti2 O7'
_cell_length_a 4.0136
_cell_length_b 4.0400
_cell_length_c 12.5205
_cell_angle_alpha 90.47
_cell_angle_beta 90.19
_cell_angle_gamma 90.08
_space_group_name_H-M_alt 'P 1'
_space_group_IT_number 1
loop_
_space_group_symop_operation_xyz
'x,y,z'
loop_
_atom_site_label
_atom_site_fract_x
_atom_site_fract_y
_atom_site_fract_z
Ba1 0.0000 0.0000 0.0000
Ba2 0.0014 0.0038 0.3368
Ba3 0.0031 0.0069 0.6587
Mg1 0.5018 0.4957 0.8194
Ti1 0.5030 0.5069 0.5031
Ti2 0.5029 0.5097 0.1783
O1 0.0010 0.5033 0.4935
O2 0.0025 0.4617 0.8401
O3 0.4971 0.9765 0.1596
O4 0.4989 0.4920 0.3277
O5 0.5024 0.9997 0.4960
O6 0.5016 0.5040 0.6550
O7 0.9944 0.4836 0.1564
```